Mn2Zn3Si4O14: simulated XRD peak list (Cu Kα), based on DFT lattice parameters and positions (GGA+U).
Peak positions follow from Bragg's law for the DFT cell and can differ from measured ones.

Atomic structure:
```
data_Mn2Zn3Si4O14
_space_group_name_H-M_alt 'C 1 2/c 1'
_space_group_IT_number 15
_cell_length_a 16.7021
_cell_length_b 7.7695
_cell_length_c 9.9540
_cell_angle_alpha 90.00
_cell_angle_beta 123.12
_cell_angle_gamma 90.00
loop_
_space_group_symop_operation_xyz
'x,y,z'
'-x,-y,-z'
'-x,y,-z+1/2'
'x,-y,z+1/2'
'x+1/2,y+1/2,z'
'-x+1/2,-y+1/2,-z'
'-x+1/2,y+1/2,-z+1/2'
'x+1/2,-y+1/2,z+1/2'
loop_
_atom_site_label
_atom_site_fract_x
_atom_site_fract_y
_atom_site_fract_z
Mn1 0.0000 0.0000 0.0000
Mn2 0.0000 0.2107 0.2500
Zn1 0.0000 0.3957 0.7500
Zn2 0.1655 0.1097 0.8941
Si1 0.1200 0.3650 0.6043
Si2 0.1844 0.2756 0.2039
O1 0.0492 0.4052 0.4122
O2 0.0691 0.2426 0.6753
O3 0.0749 0.0404 0.4118
O4 0.1050 0.1340 0.1778
O5 0.1522 0.4679 0.2256
O6 0.2036 0.2964 0.0610
O7 0.2163 0.2776 0.6285
```

Main lines, by angle (2θ = 5–70°):
| 2θ/deg | intensity | index |
| --- | --- | --- |
| 12.7 | 33 | 2 0 0 |
| 27.9 | 87 | 1 1 2 |
| 29.4 | 100 | 5 1 -2 |
| 31.0 | 94 | 2 2 1 |
| 38.4 | 29 | 2 2 2 |
| 39.6 | 25 | 1 3 -2 |
| 41.5 | 31 | 6 2 -3 |
| 44.4 | 31 | 3 3 -3 |


ZnP2W2O10: simulated XRD peak list (Cu Kα), based on DFT lattice parameters and positions (GGA+U).
Peak positions follow from Bragg's law for the DFT cell and can differ from measured ones.

Atomic structure:
```
data_ZnP2W2O10
_space_group_name_H-M_alt 'F d d 2'
_space_group_IT_number 43
_space_group_name_Hall 'F 2 -2d'
_cell_length_a 12.5308
_cell_length_b 16.9848
_cell_length_c 7.3664
_cell_angle_alpha 90.00
_cell_angle_beta 90.00
_cell_angle_gamma 90.00
loop_
_atom_site_label
_atom_site_fract_x
_atom_site_fract_y
_atom_site_fract_z
Zn1 0.0000 0.0000 0.0000
P1 0.0024 0.2105 0.2736
W1 0.1103 0.3869 0.1426
O1 0.0067 0.3451 0.9370
O2 0.0097 0.0802 0.7979
O3 0.0264 0.1625 0.1025
O4 0.0979 0.2723 0.2964
O5 0.1003 0.2380 0.7534
```

Main lines, by angle (2θ = 5–70°):
| 2θ/deg | intensity | index |
| --- | --- | --- |
| 14.9 | 100 | 1 1 1 |
| 21.0 | 21 | 1 3 1 |
| 25.1 | 25 | 3 1 1 |
| 29.2 | 47 | 3 3 1 |
| 29.8 | 36 | 1 5 1 |
| 30.0 | 60 | 2 2 2 |
| 35.6 | 18 | 4 4 0 |
| 42.8 | 22 | 2 6 2 |


Li3MnP2O8: simulated XRD peak list (Cu Kα), based on DFT lattice parameters and positions (GGA+U).
Peak positions follow from Bragg's law for the DFT cell and can differ from measured ones.

Atomic structure:
```
data_Li3MnP2O8
_space_group_name_H-M_alt 'P 1 21/c 1'
_space_group_IT_number 14
_cell_length_a 4.8370
_cell_length_b 18.3513
_cell_length_c 7.8618
_cell_angle_alpha 90.00
_cell_angle_beta 124.82
_cell_angle_gamma 90.00
loop_
_space_group_symop_operation_xyz
'x,y,z'
'-x,-y,-z'
'-x,y+1/2,-z+1/2'
'x,-y+1/2,z+1/2'
loop_
_atom_site_label
_atom_site_fract_x
_atom_site_fract_y
_atom_site_fract_z
Li1 0.0227 0.0529 0.2893
Li2 0.2834 0.6216 0.0028
Li3 0.3662 0.1981 0.6770
Mn1 0.1830 0.1269 0.9831
P1 0.1248 0.7129 0.2995
P2 0.4925 0.0385 0.7696
O1 0.0465 0.6717 0.1086
O2 0.1646 0.7038 0.7851
O3 0.1659 0.1973 0.1700
O4 0.1690 0.5665 0.5324
O5 0.1879 0.0646 0.7787
O6 0.4448 0.0694 0.5754
O7 0.4671 0.6867 0.4997
O8 0.4708 0.5462 0.2643
```

Main lines, by angle (2θ = 5–70°):
| 2θ/deg | intensity | index |
| --- | --- | --- |
| 14.5 | 100 | 0 1 1 |
| 20.0 | 39 | 0 3 1 |
| 23.8 | 54 | 0 4 1 |
| 24.4 | 61 | 1 2 0 |
| 25.5 | 58 | 1 2 -2 |
| 26.8 | 31 | 1 3 0 |
| 34.0 | 94 | 0 4 2 |
| 34.7 | 59 | 1 6 -1 |